Structure and simulated X-ray powder pattern of PaCo2SiH (a crystal structure in Alexandria, relaxed with PBE; copper Kα).
Kinematic intensities with the Lorentz-polarization factor, no thermal factor.

Principal peaks in the range 2θ = 10–90°, sorted by position:
h k l  2theta  d [Å]  I/Imax
0 2 1  22.19  4.005  62
1 1 0  24.74  3.598  40
1 1 1  28.59  3.122  43
0 4 1  37.44  2.402  47
1 3 1  37.80  2.380  91
1 1 2  38.03  2.366  100
0 2 3  46.77  1.942  29
2 0 0  47.41  1.918  28
1 3 3  56.69  1.624  26
2 4 1  61.92  1.499  22

Crystal structure
Cell lengths 3.835, 10.399, 6.282 Å; angles 90.00, 90.00, 90.00 degrees
Space group Cmcm (No. 63)
Unique sites:
1 Pa 0.000 0.085 0.250
2 Co 0.000 0.338 0.045
3 Si 0.000 0.199 0.750
4 H 0.000 0.500 0.000